TaCrO4: theoretical powder X-ray diffraction pattern (CuKα), based on the GGA+U geometry in Alexandria.
Peak positions follow from Bragg's law for the DFT cell and can differ from measured ones.

Peak list (8 most intense, 2θ from 10° to 90°, low angle first)
- (0 2 0), 2θ = 14.84°, 5.970 Å, I = 21
- (1 1 0), 2θ = 21.08°, 4.215 Å, I = 75
- (0 2 1), 2θ = 23.14°, 3.844 Å, I = 33
- (1 1 1), 2θ = 27.62°, 3.229 Å, I = 73
- (0 4 1), 2θ = 34.98°, 2.565 Å, I = 100
- (1 1 2), 2θ = 41.86°, 2.158 Å, I = 25
- (2 4 1), 2θ = 54.18°, 1.693 Å, I = 39
- (0 4 3), 2θ = 63.71°, 1.461 Å, I = 27

Structure:
a = 4.5049 Å, b = 11.9391 Å, c = 5.0246 Å
α = 90.00°, β = 90.00°, γ = 90.00°
Fractional positions:
Ta (0.0000, 0.0758, 0.2500)
Ta (0.0000, 0.9242, 0.7500)
Ta (0.5000, 0.4242, 0.7500)
Ta (0.5000, 0.5758, 0.2500)
Cr (0.0000, 0.3220, 0.2500)
Cr (0.0000, 0.6780, 0.7500)
Cr (0.5000, 0.1780, 0.7500)
Cr (0.5000, 0.8220, 0.2500)
O (0.2335, 0.1903, 0.0816)
O (0.2335, 0.8097, 0.5816)
O (0.2412, 0.0557, 0.5818)
O (0.2412, 0.9443, 0.0818)
O (0.2588, 0.4443, 0.0818)
O (0.2588, 0.5557, 0.5818)
O (0.2665, 0.3097, 0.5816)
O (0.2665, 0.6903, 0.0816)
O (0.7335, 0.3097, 0.9184)
O (0.7335, 0.6903, 0.4184)
O (0.7412, 0.4443, 0.4182)
O (0.7412, 0.5557, 0.9182)
O (0.7588, 0.0557, 0.9182)
O (0.7588, 0.9443, 0.4182)
O (0.7665, 0.1903, 0.4184)
O (0.7665, 0.8097, 0.9184)